Calculated powder diffractogram of YCr6Ge6 for Cu Kα, from a cell relaxed with PBE.
Peak positions follow from Bragg's law for the DFT cell and can differ from measured ones.

Principal peaks in the range 5 to 70 degrees two-theta, by intensity:
2θ (°), intensity, h k l
41.44, 1000, 1 1 2
35.09, 764, 1 1 0
46.45, 663, 2 0 2
40.74, 444, 2 0 0
48.36, 425, 1 0 4
38.28, 349, 1 0 3

```
YCr6Ge6
1.0
5.1142 0.0000 0.0000
-2.5571 4.4290 0.0000
0.0000 0.0000 8.3237
Y Cr Ge
1 6 6
Direct
0.0000 0.0000 0.0000 Y
0.0000 0.5000 0.2510 Cr
0.0000 0.5000 0.7490 Cr
0.5000 0.0000 0.2510 Cr
0.5000 0.0000 0.7490 Cr
0.5000 0.5000 0.2510 Cr
0.5000 0.5000 0.7490 Cr
0.0000 0.0000 0.3462 Ge
0.0000 0.0000 0.6538 Ge
0.3333 0.6667 0.0000 Ge
0.3333 0.6667 0.5000 Ge
0.6667 0.3333 0.0000 Ge
0.6667 0.3333 0.5000 Ge
```